Starting from DFT lattice parameters and positions (GGA-PBE), the powder X-ray diffraction pattern of Hg5S was calculated for λ = 1.5418 Å (Cu Kα).
No peak broadening, texture or thermal motion is included.

Atomic structure:
```
Hg5S
1.0
1.9734 -11.0632 0.0000
1.9734 11.0632 0.0000
0.0000 0.0000 3.8400
Hg S
5 1
direct
0.0000 0.0000 0.0000
0.1258 0.8742 0.5000
0.3039 0.6961 0.0000
0.6961 0.3039 0.0000
0.8742 0.1258 0.5000
0.5000 0.5000 0.5000
```

Main lines, in order of rising 2θ (15 to 90 degrees two-theta):
Position (°2θ), intensity
22.9, 18.7
28.3, 48.7
30.3, 24.7
34.8, 100.0
36.4, 32.7
47.4, 24.9
64.4, 17.9
68.2, 17.1

Starting from DFT lattice parameters and positions (GGA-PBE), the powder X-ray diffraction pattern of CaSm2AuO5 was calculated for λ = 1.5418 Å (Cu Kα).
No peak broadening, texture or thermal motion is included.

Atomic structure:
```
CaSm2AuO5
1.0
6.6415 0.0000 0.0000
0.0000 6.6415 0.0000
0.0000 0.0000 6.1019
Ca Sm Au O
2 4 2 10
direct
0.0000 0.0000 0.0000
0.5000 0.5000 0.0000
0.1712 0.3288 0.5000
0.3288 0.8288 0.5000
0.6712 0.1712 0.5000
0.8288 0.6712 0.5000
0.0000 0.5000 0.0000
0.5000 0.0000 0.0000
0.0000 0.0000 0.5000
0.1511 0.6511 0.2561
0.1511 0.6511 0.7439
0.3489 0.1511 0.2561
0.3489 0.1511 0.7439
0.5000 0.5000 0.5000
0.6511 0.8489 0.2561
0.6511 0.8489 0.7439
0.8489 0.3489 0.2561
0.8489 0.3489 0.7439
```

Main lines, in order of rising 2θ (15 to 90 degrees two-theta):
Position (°2θ), intensity
18.9, 54.6
29.3, 44.4
30.7, 100.0
33.6, 49.7
38.3, 22.8
42.5, 39.2
45.7, 44.5
52.8, 21.8

Starting from DFT lattice parameters and positions (GGA-PBE), the powder X-ray diffraction pattern of Ce2Nd2Tl5 was calculated for λ = 1.5418 Å (Cu Kα).
No peak broadening, texture or thermal motion is included.

Atomic structure:
```
Ce2Nd2Tl5
1.0
8.0673 -4.8073 0.0000
8.0673 4.8073 0.0000
-1.9488 0.0000 7.2827
Ce Nd Tl
4 4 10
direct
0.0103 0.4529 0.1394
0.2153 0.7847 0.5000
0.4529 0.0103 0.6394
0.7847 0.2153 0.0000
0.0448 0.6118 0.7207
0.3656 0.8138 0.0696
0.6118 0.0448 0.2207
0.8138 0.3656 0.5696
0.1142 0.1235 0.3285
0.1235 0.1142 0.8285
0.3187 0.3467 0.4489
0.3467 0.3187 0.9489
0.4823 0.5015 0.7662
0.5015 0.4823 0.2662
0.6990 0.7108 0.8836
0.7108 0.6990 0.3836
0.8400 0.9831 0.6113
0.9831 0.8400 0.1113
```

Main lines, in order of rising 2θ (15 to 90 degrees two-theta):
Position (°2θ), intensity
29.6, 46.5
30.1, 47.6
30.6, 100.0
30.8, 35.2
34.8, 54.3
37.4, 27.6
40.4, 35.1
62.7, 31.9

Starting from DFT lattice parameters and positions (GGA-PBE), the powder X-ray diffraction pattern of Tb5Ho5Er was calculated for λ = 1.5418 Å (Cu Kα).
No peak broadening, texture or thermal motion is included.

Atomic structure:
```
Tb5Ho5Er
1.0
6.8239 0.0000 0.0000
2.3273 6.4161 0.0000
2.1790 1.5391 8.0667
Tb Ho Er
5 5 1
direct
0.0000 0.0000 0.0000
0.1465 0.1459 0.3628
0.3150 0.3138 0.6367
0.6850 0.6862 0.3633
0.8535 0.8541 0.6372
0.2257 0.6485 0.2746
0.3512 0.7727 0.7262
0.5000 0.0000 0.0000
0.6488 0.2273 0.2738
0.7743 0.3515 0.7254
0.0000 0.5000 0.0000
```

Main lines, in order of rising 2θ (15 to 90 degrees two-theta):
Position (°2θ), intensity
25.3, 19.2
31.8, 23.3
32.0, 60.1
32.4, 99.8
32.6, 100.0
33.3, 32.9
50.9, 18.2
57.5, 17.9

Starting from DFT lattice parameters and positions (GGA-PBE), the powder X-ray diffraction pattern of CsNd2MnSe4 was calculated for λ = 1.5418 Å (Cu Kα).
No peak broadening, texture or thermal motion is included.

Atomic structure:
```
CsNd2MnSe4
1.0
2.1363 -7.5597 0.0000
2.1363 7.5597 0.0000
0.0000 0.0000 14.8756
Cs Nd Mn Se
2 4 2 8
direct
0.1033 0.8967 0.7500
0.8967 0.1033 0.2500
0.3685 0.6315 0.5571
0.3685 0.6315 0.9429
0.6315 0.3685 0.0571
0.6315 0.3685 0.4429
0.1706 0.8294 0.2500
0.8294 0.1706 0.7500
0.0000 0.0000 0.0000
0.0000 0.0000 0.5000
0.2603 0.7397 0.1099
0.2603 0.7397 0.3901
0.4198 0.5802 0.7500
0.5802 0.4198 0.2500
0.7397 0.2603 0.6099
0.7397 0.2603 0.8901
```

Main lines, in order of rising 2θ (15 to 90 degrees two-theta):
Position (°2θ), intensity
21.4, 42.6
26.7, 30.8
28.0, 100.0
29.9, 83.6
37.3, 36.0
40.8, 47.6
41.1, 28.5
42.3, 37.8

Starting from DFT lattice parameters and positions (GGA-PBE), the powder X-ray diffraction pattern of ScNbHgH2 was calculated for λ = 1.5418 Å (Cu Kα).
No peak broadening, texture or thermal motion is included.

Atomic structure:
```
ScNbHgH2
1.0
3.8273 0.0000 0.0000
0.0000 3.8273 0.0000
0.0000 0.0000 5.8325
Sc Nb Hg H
1 1 1 2
direct
0.0000 0.0000 0.0000
0.5000 0.5000 0.0000
0.5000 0.5000 0.5000
0.0000 0.5000 0.5000
0.5000 0.0000 0.5000
```

Main lines, in order of rising 2θ (15 to 90 degrees two-theta):
Position (°2θ), intensity
23.2, 100.0
27.9, 45.3
30.7, 47.8
33.1, 75.3
38.8, 54.4
45.7, 61.1
47.5, 28.0
57.6, 31.2

Starting from DFT lattice parameters and positions (GGA-PBE), the powder X-ray diffraction pattern of Ga was calculated for λ = 1.5418 Å (Cu Kα).
No peak broadening, texture or thermal motion is included.

Atomic structure:
```
Ga
1.0
2.9621 0.0000 0.0000
-1.4810 2.5652 0.0000
0.0000 0.0000 9.8599
Ga
4
direct
0.0000 0.0000 0.0000
0.0000 0.0000 0.5000
0.3333 0.6667 0.2500
0.6667 0.3333 0.7500
```

Main lines, in order of rising 2θ (15 to 90 degrees two-theta):
Position (°2θ), intensity
36.2, 43.0
36.5, 37.4
39.6, 100.0
44.8, 23.3
62.7, 22.0
67.7, 19.5
74.8, 25.7
76.8, 13.4

Starting from DFT lattice parameters and positions (GGA-PBE), the powder X-ray diffraction pattern of La8In2Ir3 was calculated for λ = 1.5418 Å (Cu Kα).
No peak broadening, texture or thermal motion is included.

Atomic structure:
```
La8In2Ir3
1.0
9.2946 0.0000 0.0000
0.0000 5.1303 0.0000
-3.4647 0.0000 8.6292
La In Ir
8 2 3
direct
0.1091 0.0000 0.3908
0.1447 0.5000 0.8678
0.3674 0.5000 0.6450
0.3901 0.0000 0.1105
0.6099 0.0000 0.8895
0.6326 0.5000 0.3550
0.8553 0.5000 0.1322
0.8909 0.0000 0.6092
0.2439 0.5000 0.2567
0.7561 0.5000 0.7433
0.2387 0.0000 0.7393
0.5000 0.5000 0.0000
0.7613 0.0000 0.2607
```

Main lines, in order of rising 2θ (15 to 90 degrees two-theta):
Position (°2θ), intensity
33.8, 100.0
34.4, 25.4
35.0, 25.5
43.1, 13.0
49.9, 18.0
61.3, 17.2
62.0, 17.3
71.1, 11.3

Starting from DFT lattice parameters and positions (GGA-PBE), the powder X-ray diffraction pattern of ZnInGeAs3 was calculated for λ = 1.5418 Å (Cu Kα).
No peak broadening, texture or thermal motion is included.

Atomic structure:
```
ZnInGeAs3
1.0
6.8829 -2.0814 0.0000
6.8829 2.0814 0.0000
-2.5102 0.0000 5.3299
Zn In Ge As
1 1 1 3
direct
0.0000 0.0000 0.0000
0.6680 0.6680 0.6836
0.3375 0.3375 0.3630
0.1668 0.1668 0.4034
0.4936 0.4936 0.7721
0.8453 0.8453 0.1210
```

Main lines, in order of rising 2θ (15 to 90 degrees two-theta):
Position (°2θ), intensity
26.2, 100.0
43.5, 61.5
43.6, 12.1
51.5, 29.3
51.6, 14.7
63.3, 7.8
69.6, 11.3
79.8, 13.2

Starting from DFT lattice parameters and positions (GGA-PBE), the powder X-ray diffraction pattern of Li17PrMg was calculated for λ = 1.5418 Å (Cu Kα).
No peak broadening, texture or thermal motion is included.

Atomic structure:
```
Li17PrMg
1.0
4.7859 2.7631 5.0522
-4.7859 2.7631 5.0522
0.0000 -5.5262 5.0522
Li Pr Mg
17 1 1
direct
0.0512 0.4744 0.4744
0.0559 0.0559 0.0559
0.1155 0.1155 0.6765
0.1155 0.6765 0.1155
0.1521 0.4450 0.8318
0.1521 0.8318 0.4450
0.2364 0.2364 0.2364
0.3661 0.7498 0.7498
0.4450 0.1521 0.8318
0.4450 0.8318 0.1521
0.4744 0.0512 0.4744
0.4744 0.4744 0.0512
0.6765 0.1155 0.1155
0.7498 0.3661 0.7498
0.7498 0.7498 0.3661
0.8318 0.1521 0.4450
0.8318 0.4450 0.1521
0.8045 0.8045 0.8045
0.4647 0.4647 0.4647
```

Main lines, in order of rising 2θ (15 to 90 degrees two-theta):
Position (°2θ), intensity
15.8, 97.1
18.5, 95.9
22.2, 44.6
25.6, 100.0
29.1, 44.7
30.9, 44.0
32.4, 37.4
37.1, 65.9

Starting from DFT lattice parameters and positions (GGA-PBE), the powder X-ray diffraction pattern of HoPa2CrN4 was calculated for λ = 1.5418 Å (Cu Kα).
No peak broadening, texture or thermal motion is included.

Atomic structure:
```
HoPa2CrN4
1.0
1.6518 -5.8102 0.0000
1.6518 5.8102 0.0000
0.0000 0.0000 11.5267
Ho Pa Cr N
2 4 2 8
direct
0.1107 0.8893 0.7500
0.8893 0.1107 0.2500
0.3666 0.6334 0.5559
0.3666 0.6334 0.9441
0.6334 0.3666 0.0559
0.6334 0.3666 0.4441
0.1538 0.8462 0.2500
0.8462 0.1538 0.7500
0.0000 0.0000 0.0000
0.0000 0.0000 0.5000
0.2760 0.7240 0.1260
0.2760 0.7240 0.3740
0.4542 0.5458 0.7500
0.5458 0.4542 0.2500
0.7240 0.2760 0.6260
0.7240 0.2760 0.8740
```

Main lines, in order of rising 2θ (15 to 90 degrees two-theta):
Position (°2θ), intensity
27.8, 100.0
30.8, 58.0
32.2, 76.0
36.6, 25.6
39.1, 65.6
48.8, 32.0
63.4, 33.6
64.9, 26.4

Starting from DFT lattice parameters and positions (GGA-PBE), the powder X-ray diffraction pattern of PrSn3Ir was calculated for λ = 1.5418 Å (Cu Kα).
No peak broadening, texture or thermal motion is included.

Atomic structure:
```
PrSn3Ir
1.0
5.8799 -3.5042 0.0000
5.8799 3.5042 0.0000
-0.9024 0.0000 6.2001
Pr Sn Ir
2 6 2
direct
0.2207 0.2207 0.2062
0.7793 0.7793 0.7938
0.1412 0.7282 0.2397
0.2718 0.8588 0.7603
0.3041 0.3041 0.7104
0.6959 0.6959 0.2896
0.7282 0.1412 0.2397
0.8588 0.2718 0.7603
0.5000 0.5000 0.0000
0.5000 0.5000 0.5000
```

Main lines, in order of rising 2θ (15 to 90 degrees two-theta):
Position (°2θ), intensity
32.0, 42.5
33.5, 53.3
34.1, 34.7
35.9, 38.0
36.7, 37.4
39.3, 36.8
40.3, 100.0
43.5, 53.9

Starting from DFT lattice parameters and positions (GGA-PBE), the powder X-ray diffraction pattern of Cs4NaSn3Br12 was calculated for λ = 1.5418 Å (Cu Kα).
No peak broadening, texture or thermal motion is included.

Atomic structure:
```
Cs4NaSn3Br12
1.0
-5.7987 5.7987 5.7987
5.7987 -5.7987 5.7987
5.7987 5.7987 -5.7987
Cs Na Sn Br
4 1 3 12
direct
0.0000 0.0000 0.5000
0.0000 0.5000 0.0000
0.5000 0.0000 0.0000
0.5000 0.5000 0.5000
0.0000 0.0000 0.0000
0.0000 0.5000 0.5000
0.5000 0.0000 0.5000
0.5000 0.5000 0.0000
0.0000 0.2542 0.2542
0.0000 0.7458 0.7458
0.2500 0.5000 0.7500
0.2500 0.7500 0.5000
0.2542 0.0000 0.2542
0.2542 0.2542 0.0000
0.5000 0.2500 0.7500
0.5000 0.7500 0.2500
0.7458 0.0000 0.7458
0.7458 0.7458 0.0000
0.7500 0.2500 0.5000
0.7500 0.5000 0.2500
```

Main lines, in order of rising 2θ (15 to 90 degrees two-theta):
Position (°2θ), intensity
21.7, 44.5
26.6, 68.7
30.8, 100.0
44.2, 73.1
52.3, 29.7
54.8, 25.6
73.0, 33.0
81.3, 25.0